MnSnMoO6: calculated X-ray diffraction stick pattern (a wavelength of 1.5418 Å), based on a PBE+U-relaxed structure.
Lines closer than 0.1° are merged.

Top 10 peaks for 2θ = 15–90°, by intensity:
- (1 1 0), d 3.302, I 100
- (1 0 3), d 2.654, I 81
- (2 1 3), d 1.753, I 68
- (3 0 3), d 1.402, I 21
- (2 0 0), d 2.335, I 18
- (2 2 0), d 1.651, I 17
- (1 1 6), d 1.449, I 16
- (3 1 0), d 1.477, I 14
- (1 0 1), d 4.206, I 13
- (3 2 3), d 1.202, I 12

Crystal structure
Lattice parameters (Å, degrees): 4.670 4.670 9.677 90.00 90.00 90.00
Atoms (fractional coordinates):
Mn  0.000  0.000  0.000
Mn  0.500  0.500  0.500
Sn  0.000  0.000  0.333
Sn  0.500  0.500  0.833
Mo  0.000  0.000  0.667
Mo  0.500  0.500  0.167
O  0.191  0.191  0.827
O  0.200  0.200  0.504
O  0.206  0.206  0.166
O  0.294  0.706  0.666
O  0.300  0.700  0.004
O  0.309  0.691  0.327
O  0.691  0.309  0.327
O  0.700  0.300  0.004
O  0.706  0.294  0.666
O  0.794  0.794  0.166
O  0.800  0.800  0.504
O  0.809  0.809  0.827